Starting from a cell relaxed with GGA-PBE, the X-ray diffraction stick pattern of In4GaHg3 was computed for Cu Kα (weighted mean of Kα1 and Kα2).

Structural model:
Cell lengths 3.8633, 4.7182, 11.5494 Å; angles 90.00, 90.00, 90.00 degrees
Space group Pmm2 (No. 25)
Unique sites:
In 0.0000 0.0000 0.0000 x1
In 0.0000 0.5000 0.2665 x1
In 0.5000 0.0000 0.4798 x1
In 0.5000 0.5000 0.7731 x1
Ga 0.5000 0.0000 0.2246 x1
Hg 0.0000 0.0000 0.7342 x1
Hg 0.0000 0.5000 0.5317 x1
Hg 0.5000 0.5000 0.0346 x1

Main lines, low angle first (10 to 80 degrees two-theta):
2θ/deg, I (rel.), index
24.32, 11, 1 0 1
30.92, 100, 0 0 4
36.48, 14, 0 1 4
38.13, 76, 0 2 0
47.04, 13, 2 0 0
49.91, 21, 0 2 4
61.00, 11, 2 1 4
62.10, 11, 2 2 0
68.92, 10, 1 3 3
71.02, 10, 2 2 4